Computed XRD peak list of Co6OF11 for copper Kα, from a structure optimized by DFT (PBE+U).
No peak broadening, texture or thermal motion is included.

Atomic structure:
```
data_Co6OF11
_chemical_formula_sum 'Co6 O1 F11'
_symmetry_space_group_name_H-M 'P 1'
_symmetry_Int_Tables_number 1
_symmetry_space_group_name_Hall 'P 1'
_cell_length_a 3.206
_cell_length_b 10.503
_cell_length_c 10.503
_cell_angle_alpha 37.54
_cell_angle_beta 90.00
_cell_angle_gamma 90.00
loop_
_atom_site_label
_atom_site_type_symbol
_atom_site_fract_x
_atom_site_fract_y
_atom_site_fract_z
_atom_site_occupancy
Co1 Co 0.000 0.000 0.000 1
Co2 Co 0.000 0.322 0.322 1
Co3 Co 0.000 0.660 0.660 1
Co4 Co 0.500 0.150 0.150 1
Co5 Co 0.500 0.491 0.491 1
Co6 Co 0.500 0.829 0.829 1
O1 O 0.000 0.089 0.089 1
F1 F 0.000 0.221 0.221 1
F2 F 0.000 0.426 0.426 1
F3 F 0.000 0.557 0.557 1
F4 F 0.000 0.763 0.763 1
F5 F 0.000 0.897 0.897 1
F6 F 0.500 0.127 0.523 1
F7 F 0.500 0.185 0.795 1
F8 F 0.500 0.465 0.854 1
F9 F 0.500 0.523 0.127 1
F10 F 0.500 0.795 0.185 1
F11 F 0.500 0.854 0.465 1
```

Peak list (10 most intense, 2θ from 10° to 90°, sorted by position)
2θ 26.4, intensity 89; 2θ 26.9, intensity 83; 2θ 33.8, intensity 100; 2θ 38.7, intensity 16; 2θ 39.1, intensity 16; 2θ 51.5, intensity 60; 2θ 52.1, intensity 52; 2θ 54.3, intensity 17; 2θ 57.5, intensity 19; 2θ 66.0, intensity 39

---

Computed XRD peak list of LiFe8O12 for copper Kα, from a structure optimized by DFT (PBE+U).
No peak broadening, texture or thermal motion is included.

Atomic structure:
```
data_LiFe8O12
_chemical_formula_sum 'Li2 Fe16 O24'
_symmetry_space_group_name_H-M 'P 1'
_symmetry_Int_Tables_number 1
_symmetry_space_group_name_Hall 'P 1'
_cell_length_a 6.037
_cell_length_b 6.037
_cell_length_c 13.408
_cell_angle_alpha 102.85
_cell_angle_beta 102.85
_cell_angle_gamma 89.87
loop_
_atom_site_label
_atom_site_type_symbol
_atom_site_fract_x
_atom_site_fract_y
_atom_site_fract_z
_atom_site_occupancy
Li1 Li 0.249 0.751 0.500 1
Li2 Li 0.751 0.249 0.000 1
Fe1 Fe 0.077 0.089 0.162 1
Fe2 Fe 0.089 0.077 0.662 1
Fe3 Fe 0.090 0.584 0.664 1
Fe4 Fe 0.210 0.952 0.919 1
Fe5 Fe 0.292 0.548 0.082 1
Fe6 Fe 0.409 0.419 0.336 1
Fe7 Fe 0.409 0.917 0.336 1
Fe8 Fe 0.419 0.409 0.836 1
Fe9 Fe 0.548 0.292 0.582 1
Fe10 Fe 0.584 0.090 0.164 1
Fe11 Fe 0.623 0.874 0.751 1
Fe12 Fe 0.751 0.752 0.502 1
Fe13 Fe 0.752 0.751 0.002 1
Fe14 Fe 0.874 0.623 0.251 1
Fe15 Fe 0.917 0.409 0.836 1
Fe16 Fe 0.952 0.210 0.419 1
O1 O 0.162 0.643 0.826 1
O2 O 0.167 0.182 0.834 1
O3 O 0.182 0.167 0.334 1
O4 O 0.184 0.666 0.332 1
O5 O 0.321 0.827 0.670 1
O6 O 0.331 0.346 0.672 1
O7 O 0.342 0.852 0.174 1
O8 O 0.346 0.331 0.172 1
O9 O 0.506 0.507 0.993 1
O10 O 0.506 0.987 0.494 1
O11 O 0.507 0.506 0.493 1
O12 O 0.512 0.992 0.006 1
O13 O 0.643 0.162 0.326 1
O14 O 0.651 0.670 0.340 1
O15 O 0.666 0.184 0.832 1
O16 O 0.670 0.651 0.840 1
O17 O 0.820 0.839 0.162 1
O18 O 0.827 0.321 0.170 1
O19 O 0.839 0.820 0.662 1
O20 O 0.852 0.342 0.674 1
O21 O 0.986 0.988 0.499 1
O22 O 0.987 0.506 0.994 1
O23 O 0.988 0.986 0.999 1
O24 O 0.992 0.512 0.506 1
```

Peak list (10 most intense, 2θ from 10° to 90°, sorted by position)
2θ 29.6, intensity 30; 2θ 29.7, intensity 44; 2θ 34.8, intensity 100; 2θ 35.0, intensity 87; 2θ 35.1, intensity 29; 2θ 42.3, intensity 26; 2θ 52.6, intensity 18; 2θ 56.0, intensity 37; 2θ 61.4, intensity 50; 2θ 61.7, intensity 49

---

Computed XRD peak list of Li5Mn3O8 for copper Kα, from a structure optimized by DFT (PBE+U).
No peak broadening, texture or thermal motion is included.

Atomic structure:
```
data_Li5Mn3O8
_chemical_formula_sum 'Li10 Mn6 O16'
_symmetry_space_group_name_H-M 'P 1'
_symmetry_Int_Tables_number 1
_symmetry_space_group_name_Hall 'P 1'
_cell_length_a 5.871
_cell_length_b 5.871
_cell_length_c 10.052
_cell_angle_alpha 105.75
_cell_angle_beta 105.75
_cell_angle_gamma 60.64
loop_
_atom_site_label
_atom_site_type_symbol
_atom_site_fract_x
_atom_site_fract_y
_atom_site_fract_z
_atom_site_occupancy
Li1 Li 0.014 0.490 0.506 1
Li2 Li 0.024 0.976 0.500 1
Li3 Li 0.251 0.758 0.759 1
Li4 Li 0.252 0.752 0.256 1
Li5 Li 0.482 0.529 0.013 1
Li6 Li 0.490 0.014 0.006 1
Li7 Li 0.529 0.482 0.513 1
Li8 Li 0.752 0.252 0.756 1
Li9 Li 0.758 0.251 0.259 1
Li10 Li 0.976 0.024 0.000 1
Mn1 Mn 0.251 0.254 0.757 1
Mn2 Mn 0.254 0.251 0.257 1
Mn3 Mn 0.516 0.989 0.506 1
Mn4 Mn 0.752 0.753 0.756 1
Mn5 Mn 0.753 0.752 0.256 1
Mn6 Mn 0.989 0.516 0.006 1
O1 O 0.091 0.654 0.887 1
O2 O 0.108 0.609 0.364 1
O3 O 0.113 0.170 0.887 1
O4 O 0.170 0.113 0.387 1
O5 O 0.331 0.391 0.124 1
O6 O 0.391 0.331 0.624 1
O7 O 0.398 0.895 0.149 1
O8 O 0.415 0.852 0.626 1
O9 O 0.609 0.108 0.864 1
O10 O 0.634 0.645 0.380 1
O11 O 0.645 0.634 0.880 1
O12 O 0.654 0.091 0.387 1
O13 O 0.852 0.415 0.126 1
O14 O 0.858 0.871 0.632 1
O15 O 0.871 0.858 0.132 1
O16 O 0.895 0.398 0.649 1
```

Peak list (10 most intense, 2θ from 10° to 90°, sorted by position)
2θ 18.5, intensity 100; 2θ 18.6, intensity 7; 2θ 21.2, intensity 10; 2θ 35.6, intensity 24; 2θ 36.4, intensity 9; 2θ 43.2, intensity 51; 2θ 44.3, intensity 25; 2θ 57.2, intensity 9; 2θ 63.4, intensity 13; 2θ 63.8, intensity 13

---

Computed XRD peak list of Li9Mn2Co5O16 for copper Kα, from a structure optimized by DFT (PBE+U).
No peak broadening, texture or thermal motion is included.

Atomic structure:
```
data_Li9Mn2Co5O16
_chemical_formula_sum 'Li9 Mn2 Co5 O16'
_symmetry_space_group_name_H-M 'P 1'
_symmetry_Int_Tables_number 1
_symmetry_space_group_name_Hall 'P 1'
_cell_length_a 2.971
_cell_length_b 5.961
_cell_length_c 16.173
_cell_angle_alpha 90.68
_cell_angle_beta 90.98
_cell_angle_gamma 94.14
loop_
_atom_site_label
_atom_site_type_symbol
_atom_site_fract_x
_atom_site_fract_y
_atom_site_fract_z
_atom_site_occupancy
Li1 Li 0.000 0.000 0.000 1
Li2 Li 0.000 0.001 0.501 1
Li3 Li 0.006 0.990 0.255 1
Li4 Li 0.495 0.246 0.131 1
Li5 Li 0.497 0.751 0.877 1
Li6 Li 0.498 0.249 0.628 1
Li7 Li 0.500 0.758 0.370 1
Li8 Li 0.993 0.511 0.256 1
Li9 Li 0.999 0.501 0.751 1
Mn1 Mn 0.000 0.501 0.501 1
Mn2 Mn 0.493 0.757 0.130 1
Co1 Co 0.495 0.753 0.628 1
Co2 Co 0.498 0.251 0.877 1
Co3 Co 0.505 0.239 0.371 1
Co4 Co 0.988 0.503 0.001 1
Co5 Co 0.998 0.001 0.752 1
O1 O 0.021 0.971 0.126 1
O2 O 0.024 0.019 0.377 1
O3 O 0.025 0.013 0.872 1
O4 O 0.025 0.510 0.623 1
O5 O 0.466 0.736 0.006 1
O6 O 0.474 0.239 0.758 1
O7 O 0.475 0.746 0.509 1
O8 O 0.495 0.254 0.263 1
O9 O 0.503 0.747 0.242 1
O10 O 0.522 0.258 0.493 1
O11 O 0.524 0.264 0.997 1
O12 O 0.524 0.764 0.747 1
O13 O 0.970 0.528 0.121 1
O14 O 0.972 0.990 0.634 1
O15 O 0.974 0.487 0.882 1
O16 O 0.976 0.489 0.381 1
```

Peak list (10 most intense, 2θ from 10° to 90°, sorted by position)
2θ 18.4, intensity 100; 2θ 34.5, intensity 19; 2θ 36.8, intensity 23; 2θ 37.3, intensity 8; 2θ 41.4, intensity 33; 2θ 44.7, intensity 26; 2θ 44.8, intensity 25; 2θ 62.5, intensity 15; 2θ 62.7, intensity 8; 2θ 62.8, intensity 8

---

Computed XRD peak list of VAg2O3F for copper Kα, from a structure optimized by DFT (PBE+U).
No peak broadening, texture or thermal motion is included.

Atomic structure:
```
data_VAg2O3F
_chemical_formula_sum 'V8 Ag16 O24 F8'
_symmetry_space_group_name_H-M 'P 1'
_symmetry_Int_Tables_number 1
_symmetry_space_group_name_Hall 'P 1'
_cell_length_a 5.708
_cell_length_b 10.627
_cell_length_c 13.935
_cell_angle_alpha 90.00
_cell_angle_beta 114.10
_cell_angle_gamma 90.00
loop_
_atom_site_label
_atom_site_type_symbol
_atom_site_fract_x
_atom_site_fract_y
_atom_site_fract_z
_atom_site_occupancy
V1 V 0.061 0.016 0.286 1
V2 V 0.061 0.484 0.786 1
V3 V 0.127 0.732 0.414 1
V4 V 0.127 0.768 0.914 1
V5 V 0.873 0.232 0.086 1
V6 V 0.873 0.268 0.586 1
V7 V 0.939 0.516 0.214 1
V8 V 0.939 0.984 0.714 1
Ag1 Ag 0.221 0.204 0.917 1
Ag2 Ag 0.221 0.296 0.417 1
Ag3 Ag 0.333 0.053 0.565 1
Ag4 Ag 0.333 0.447 0.065 1
Ag5 Ag 0.355 0.027 0.097 1
Ag6 Ag 0.355 0.473 0.597 1
Ag7 Ag 0.422 0.745 0.224 1
Ag8 Ag 0.422 0.755 0.724 1
Ag9 Ag 0.578 0.245 0.276 1
Ag10 Ag 0.578 0.255 0.776 1
Ag11 Ag 0.645 0.527 0.403 1
Ag12 Ag 0.645 0.973 0.903 1
Ag13 Ag 0.667 0.553 0.935 1
Ag14 Ag 0.667 0.947 0.435 1
Ag15 Ag 0.779 0.704 0.583 1
Ag16 Ag 0.779 0.796 0.083 1
O1 O 0.105 0.574 0.692 1
O2 O 0.105 0.926 0.192 1
O3 O 0.157 0.647 0.309 1
O4 O 0.157 0.853 0.809 1
O5 O 0.184 0.219 0.094 1
O6 O 0.184 0.281 0.594 1
O7 O 0.208 0.609 0.903 1
O8 O 0.208 0.891 0.403 1
O9 O 0.331 0.106 0.334 1
O10 O 0.331 0.394 0.834 1
O11 O 0.343 0.668 0.531 1
O12 O 0.343 0.832 0.031 1
O13 O 0.657 0.168 0.969 1
O14 O 0.657 0.332 0.469 1
O15 O 0.669 0.606 0.166 1
O16 O 0.669 0.894 0.666 1
O17 O 0.792 0.109 0.597 1
O18 O 0.792 0.391 0.097 1
O19 O 0.816 0.719 0.406 1
O20 O 0.816 0.781 0.906 1
O21 O 0.843 0.147 0.191 1
O22 O 0.843 0.353 0.691 1
O23 O 0.895 0.074 0.808 1
O24 O 0.895 0.426 0.308 1
F1 F 0.056 0.602 0.103 1
F2 F 0.056 0.898 0.603 1
F3 F 0.284 0.069 0.744 1
F4 F 0.284 0.431 0.244 1
F5 F 0.716 0.569 0.756 1
F6 F 0.716 0.931 0.256 1
F7 F 0.944 0.102 0.397 1
F8 F 0.944 0.398 0.897 1
```

Peak list (10 most intense, 2θ from 10° to 90°, sorted by position)
2θ 19.0, intensity 7; 2θ 30.5, intensity 8; 2θ 31.2, intensity 100; 2θ 31.3, intensity 27; 2θ 33.7, intensity 9; 2θ 39.7, intensity 8; 2θ 42.6, intensity 11; 2θ 43.1, intensity 15; 2θ 46.7, intensity 9; 2θ 55.7, intensity 13

---

Computed XRD peak list of MgMnCo3O8 for copper Kα, from a structure optimized by DFT (PBE+U).
No peak broadening, texture or thermal motion is included.

Atomic structure:
```
data_MgMnCo3O8
_chemical_formula_sum 'Mg1 Mn1 Co3 O8'
_symmetry_space_group_name_H-M 'P 1'
_symmetry_Int_Tables_number 1
_symmetry_space_group_name_Hall 'P 1'
_cell_length_a 5.670
_cell_length_b 5.744
_cell_length_c 5.945
_cell_angle_alpha 61.34
_cell_angle_beta 89.59
_cell_angle_gamma 60.79
loop_
_atom_site_label
_atom_site_type_symbol
_atom_site_fract_x
_atom_site_fract_y
_atom_site_fract_z
_atom_site_occupancy
Mg1 Mg 0.000 0.000 0.000 1
Mn1 Mn 0.500 0.500 0.500 1
Co1 Co 0.000 0.000 0.500 1
Co2 Co 0.000 0.500 0.500 1
Co3 Co 0.500 0.000 0.500 1
O1 O 0.215 0.046 0.706 1
O2 O 0.221 0.543 0.692 1
O3 O 0.252 0.491 0.288 1
O4 O 0.263 0.959 0.291 1
O5 O 0.737 0.041 0.709 1
O6 O 0.748 0.509 0.712 1
O7 O 0.779 0.457 0.308 1
O8 O 0.785 0.954 0.294 1
```

Peak list (10 most intense, 2θ from 10° to 90°, sorted by position)
2θ 17.8, intensity 100; 2θ 36.0, intensity 6; 2θ 36.2, intensity 10; 2θ 37.0, intensity 20; 2θ 38.1, intensity 8; 2θ 43.0, intensity 21; 2θ 44.0, intensity 20; 2θ 44.3, intensity 20; 2θ 47.9, intensity 6; 2θ 64.6, intensity 6

---

Computed XRD peak list of MnO2 for copper Kα, from a structure optimized by DFT (PBE+U).
No peak broadening, texture or thermal motion is included.

Atomic structure:
```
data_MnO2
_chemical_formula_sum 'Mn8 O16'
_symmetry_space_group_name_H-M 'P 1'
_symmetry_Int_Tables_number 1
_symmetry_space_group_name_Hall 'P 1'
_cell_length_a 5.786
_cell_length_b 5.789
_cell_length_c 8.876
_cell_angle_alpha 89.99
_cell_angle_beta 89.94
_cell_angle_gamma 60.07
loop_
_atom_site_label
_atom_site_type_symbol
_atom_site_fract_x
_atom_site_fract_y
_atom_site_fract_z
_atom_site_occupancy
Mn1 Mn 0.000 0.000 0.000 1
Mn2 Mn 0.000 0.498 0.000 1
Mn3 Mn 0.332 0.839 0.500 1
Mn4 Mn 0.334 0.335 0.500 1
Mn5 Mn 0.501 0.001 0.777 1
Mn6 Mn 0.503 0.498 0.000 1
Mn7 Mn 0.832 0.835 0.499 1
Mn8 Mn 0.834 0.332 0.276 1
O1 O 0.000 0.501 0.390 1
O2 O 0.002 0.997 0.387 1
O3 O 0.125 0.186 0.129 1
O4 O 0.166 0.669 0.605 1
O5 O 0.167 0.667 0.105 1
O6 O 0.209 0.149 0.629 1
O7 O 0.334 0.832 0.889 1
O8 O 0.336 0.334 0.890 1
O9 O 0.497 0.504 0.388 1
O10 O 0.499 0.003 0.390 1
O11 O 0.643 0.712 0.629 1
O12 O 0.646 0.148 0.628 1
O13 O 0.688 0.188 0.129 1
O14 O 0.690 0.624 0.130 1
O15 O 0.834 0.332 0.892 1
O16 O 0.839 0.830 0.887 1
```

Peak list (10 most intense, 2θ from 10° to 90°, sorted by position)
2θ 20.0, intensity 56; 2θ 20.3, intensity 100; 2θ 26.8, intensity 33; 2θ 35.2, intensity 26; 2θ 37.1, intensity 42; 2θ 37.3, intensity 46; 2θ 41.4, intensity 39; 2θ 47.5, intensity 54; 2θ 64.3, intensity 47; 2θ 64.4, intensity 23